(1)
Structure and theoretical X-ray diffraction stick pattern of NaLaHfP2SO12 (a crystal structure in the Materials Project, relaxed with PBE; a wavelength of 1.5418 Å).

Structure:
abc: 9.2307 9.2307 9.5128
angles: 118.57 118.57 59.98
Fractional positions:
Na 0.2318 0.7682 0.5000
Na 0.7682 0.2318 0.0000
La 0.0833 0.6009 0.0553
La 0.6009 0.0833 0.5553
Hf 0.3861 0.8853 0.9360
Hf 0.8853 0.3861 0.4360
P 0.0121 0.1849 0.7409
P 0.1849 0.0121 0.2409
P 0.6794 0.7694 0.7363
P 0.7694 0.6794 0.2363
S 0.2697 0.5111 0.7359
S 0.5111 0.2697 0.2359
O 0.0140 0.1819 0.2556
O 0.0480 0.3355 0.8992
O 0.1139 0.4749 0.5857
O 0.1538 0.8569 0.2280
O 0.1819 0.0140 0.7556
O 0.2303 0.9713 0.0808
O 0.2529 0.5359 0.8909
O 0.2753 0.6783 0.7488
O 0.3355 0.0480 0.3992
O 0.3683 0.4360 0.2160
O 0.4360 0.3683 0.7160
O 0.4749 0.1139 0.0857
O 0.5149 0.7783 0.7553
O 0.5359 0.2529 0.3909
O 0.6062 0.7300 0.0802
O 0.6361 0.9464 0.7221
O 0.6783 0.2753 0.2488
O 0.7300 0.6062 0.5802
O 0.7510 0.8347 0.3958
O 0.7783 0.5149 0.2553
O 0.8347 0.7510 0.8958
O 0.8569 0.1538 0.7280
O 0.9464 0.6361 0.2221
O 0.9713 0.2303 0.5808

The 8 most intense peaks (2θ from 10° to 90°), most intense first:
d_spacing	I_rel
4.615	100
4.783	53
2.664	40
6.635	35
3.310	31
4.750	28
2.995	28
3.007	27


(2)
Structure and theoretical X-ray diffraction stick pattern of Na4LaHfSi2PO12 (a crystal structure in the Materials Project, relaxed with PBE; a wavelength of 1.5418 Å).

Structure:
abc: 9.3235 9.3235 9.3064
angles: 118.44 118.44 61.75
Fractional positions:
Na 0.0573 0.9427 0.5000
Na 0.1643 0.6895 0.1097
Na 0.2808 0.4367 0.7237
Na 0.4367 0.2808 0.2237
Na 0.5716 0.8049 0.3599
Na 0.6895 0.1643 0.6097
Na 0.8049 0.5716 0.8599
Na 0.9427 0.0573 0.0000
La 0.3320 0.8392 0.9592
La 0.8392 0.3320 0.4592
Hf 0.0305 0.5299 0.2654
Hf 0.5299 0.0305 0.7654
Si 0.1280 0.2412 0.8789
Si 0.2412 0.1280 0.3789
Si 0.7387 0.9139 0.1650
Si 0.9139 0.7387 0.6650
P 0.4104 0.6345 0.5511
P 0.6345 0.4104 0.0511
O 0.0748 0.7689 0.8436
O 0.0821 0.1293 0.4071
O 0.1293 0.0821 0.9071
O 0.1316 0.4106 0.0592
O 0.1814 0.3104 0.3380
O 0.2391 0.6404 0.3925
O 0.2835 0.9471 0.2246
O 0.3104 0.1814 0.8380
O 0.3841 0.6321 0.6996
O 0.4106 0.1316 0.5592
O 0.4517 0.8040 0.6077
O 0.4680 0.5534 0.0000
O 0.5534 0.4680 0.5000
O 0.5852 0.8731 0.1580
O 0.6321 0.3841 0.1996
O 0.6404 0.2391 0.8925
O 0.6798 0.9551 0.9830
O 0.7391 0.9125 0.6676
O 0.7689 0.0748 0.3436
O 0.8040 0.4517 0.1077
O 0.8731 0.5852 0.6580
O 0.9125 0.7391 0.1676
O 0.9471 0.2835 0.7246
O 0.9551 0.6798 0.4830

The 8 most intense peaks (2θ from 10° to 90°), most intense first:
d_spacing	I_rel
2.952	100
4.773	80
4.656	70
2.759	41
6.666	31
3.333	29
2.012	26
1.628	22